This entry pairs a crystal structure of CaZnW2O8 with its theoretical powder diffractogram. Radiation: Cu Ka. Structure: a structure optimized by DFT (GGA+U).
Neutral-atom scattering factors, no anomalous dispersion.

Atomic structure:
Cell: 6.1008 6.1008 6.1008 Å, 108.41 108.41 111.61°
Element x y z (fractional)
Ca  0.0000  0.0000  0.0000
Zn  0.2500  0.7500  0.5000
W  0.5000  0.5000  0.0000
W  0.7500  0.2500  0.5000
O  0.3412  0.1352  0.7939
O  0.3412  0.5473  0.2061
O  0.3892  0.0885  0.3006
O  0.4527  0.6588  0.7939
O  0.7879  0.0885  0.6994
O  0.8648  0.6588  0.2061
O  0.9115  0.2121  0.3006
O  0.9115  0.6108  0.6994

Most intense lines, 2θ = 10–90°, in order of rising 2θ:
2θ (°), d_spacing, I/Imax
17.94, 4.945, 58.0
24.96, 3.568, 100.0
30.90, 2.893, 41.9
31.55, 2.836, 97.1
35.58, 2.523, 22.4
48.28, 1.885, 67.1
51.20, 1.784, 18.2
61.39, 1.510, 17.7